1.
Starting from a crystal structure in Alexandria, relaxed with GGA-PBE, the PXRD pattern of Mg8In3Bi2 was calculated for CuKα.
Lines closer than 0.1° are merged.

The 10 most intense peaks (15 to 90 degrees two-theta), by angle:
d (Å)  Position (°2θ)  intensity
4.109  21.63  51
4.019  22.12  50
3.886  22.88  24
3.370  26.45  35
2.546  35.25  100
2.420  37.15  22
2.347  38.34  21
2.073  43.66  17
1.684  54.47  24
1.420  65.74  16

Structure:
a = 9.157 Å, b = 9.157 Å, c = 4.695 Å
α = 90.00°, β = 90.00°, γ = 116.17°
Positions (direct):
Mg 0.108 0.892 0.000
Mg 0.128 0.373 0.500
Mg 0.370 0.630 0.000
Mg 0.373 0.128 0.500
Mg 0.627 0.872 0.500
Mg 0.630 0.370 0.000
Mg 0.872 0.627 0.500
Mg 0.892 0.108 0.000
In 0.254 0.254 0.000
In 0.500 0.500 0.500
In 0.746 0.746 0.000
Bi 0.240 0.760 0.500
Bi 0.760 0.240 0.500

---

2.
Starting from a crystal structure in Alexandria, relaxed with GGA-PBE, the PXRD pattern of Mg7Si4 was calculated for CuKα.
Lines closer than 0.1° are merged.

The 10 most intense peaks (15 to 90 degrees two-theta), by angle:
d (Å)  Position (°2θ)  intensity
2.593  34.59  25
2.575  34.84  41
2.551  35.17  62
2.489  36.09  16
2.446  36.74  31
2.370  37.97  100
2.358  38.17  26
2.302  39.13  23
2.198  41.06  15
2.108  42.89  56

Structure:
a = 16.055 Å, b = 16.055 Å, c = 6.601 Å
α = 97.99°, β = 97.99°, γ = 15.09°
Positions (direct):
Mg 0.000 0.000 0.000
Mg 0.005 0.005 0.505
Mg 0.157 0.157 0.846
Mg 0.278 0.278 0.824
Mg 0.284 0.284 0.328
Mg 0.440 0.440 0.200
Mg 0.457 0.457 0.715
Mg 0.547 0.547 0.278
Mg 0.563 0.563 0.804
Mg 0.642 0.642 0.193
Mg 0.719 0.719 0.533
Mg 0.732 0.732 0.037
Mg 0.827 0.827 0.616
Mg 0.844 0.844 0.128
Si 0.086 0.086 0.094
Si 0.095 0.095 0.481
Si 0.201 0.201 0.228
Si 0.369 0.369 0.855
Si 0.370 0.370 0.440
Si 0.633 0.633 0.595
Si 0.913 0.913 0.890
Si 0.914 0.914 0.473